Structure and calculated X-ray powder pattern of NiAg2O2 (DFT lattice parameters and positions (PBE+U); Cu Kα (weighted mean of Kα1 and Kα2)).

Largest 10 diffraction maxima, in order of rising 2θ, 10 to 90 degrees two-theta:
hkl	Position (°2θ)	intensity
0 0 3	11.34	18
0 0 9	34.46	47
0 1 2	35.08	30
1 0 4	37.59	41
0 1 5	39.39	100
1 0 7	43.88	27
1 0 10	52.39	21
1 1 0	61.24	30
0 1 14	66.29	18
1 1 9	72.21	24

Atomic structure:
```
data_NiAg2O2
_chemical_formula_sum 'Ni3 Ag6 O6'
_cell_length_a 3.0273
_cell_length_b 3.0273
_cell_length_c 23.4131
_cell_angle_alpha 90.00
_cell_angle_beta 90.00
_cell_angle_gamma 120.00
_symmetry_space_group_name_H-M 'R -3 m'
_symmetry_Int_Tables_number 166
_symmetry_space_group_name_Hall '-R 3 2"'
loop_
_atom_site_label
_atom_site_type_symbol
_atom_site_fract_x
_atom_site_fract_y
_atom_site_fract_z
_atom_site_occupancy
Ni1 Ni 0.0000 0.0000 0.0000 1
Ag1 Ag 0.0000 0.0000 0.2149 1
O1 O 0.0000 0.0000 0.3799 1
```

Structure and calculated X-ray powder pattern of NiAgO2 (DFT lattice parameters and positions (PBE+U); Cu Kα (weighted mean of Kα1 and Kα2)).

Largest 10 diffraction maxima, in order of rising 2θ, 10 to 90 degrees two-theta:
hkl	Position (°2θ)	intensity
1 0 1	20.39	6
1 1 2	32.56	100
2 0 0	35.60	28
2 1 1	41.37	6
0 0 4	41.84	8
2 2 0	51.23	15
2 0 4	56.07	24
3 1 2	62.03	28
2 2 4	68.21	9
1 1 6	70.56	9

Atomic structure:
```
data_NiAgO2
_chemical_formula_sum 'Ni4 Ag4 O8'
_cell_length_a 5.0438
_cell_length_b 5.0438
_cell_length_c 8.6362
_cell_angle_alpha 90.00
_cell_angle_beta 90.00
_cell_angle_gamma 90.00
_symmetry_space_group_name_H-M 'I -4 2 d'
_symmetry_Int_Tables_number 122
_symmetry_space_group_name_Hall 'I -4 2bw'
loop_
_atom_site_label
_atom_site_type_symbol
_atom_site_fract_x
_atom_site_fract_y
_atom_site_fract_z
_atom_site_occupancy
Ni1 Ni 0.0000 0.0000 0.0000 1
Ag1 Ag 0.0000 0.0000 0.5000 1
O1 O 0.1730 0.2500 0.1250 1
```

Structure and calculated X-ray powder pattern of NiAgO (DFT lattice parameters and positions (PBE+U); Cu Kα (weighted mean of Kα1 and Kα2)).

Largest 10 diffraction maxima, in order of rising 2θ, 10 to 90 degrees two-theta:
hkl	Position (°2θ)	intensity
2 0 1	32.14	8
4 1 0	36.59	100
8 0 0	40.01	26
6 1 0	43.14	9
0 1 1	43.71	44
8 1 1	60.74	28
0 2 0	63.54	13
12 1 0	70.44	12
4 2 1	75.61	22
8 2 0	77.79	13

Atomic structure:
```
data_NiAgO
_chemical_formula_sum 'Ni4 Ag4 O4'
_cell_length_a 18.0272
_cell_length_b 2.9290
_cell_length_c 2.9281
_cell_angle_alpha 90.00
_cell_angle_beta 90.00
_cell_angle_gamma 90.00
_symmetry_space_group_name_H-M 'P n m a'
_symmetry_Int_Tables_number 62
_symmetry_space_group_name_Hall '-P 2ac 2n'
loop_
_atom_site_label
_atom_site_type_symbol
_atom_site_fract_x
_atom_site_fract_y
_atom_site_fract_z
_atom_site_occupancy
Ni1 Ni 0.1893 0.2500 0.2410 1
Ag1 Ag 0.0554 0.7500 0.7494 1
O1 O 0.1925 0.7500 0.7408 1
```

Structure and calculated X-ray powder pattern of Ni2Ag2PtO6 (DFT lattice parameters and positions (PBE+U); Cu Kα (weighted mean of Kα1 and Kα2)).

Largest 10 diffraction maxima, in order of rising 2θ, 10 to 90 degrees two-theta:
hkl	Position (°2θ)	intensity
0 0 1	15.72	33
1 1 -1	21.85	73
0 2 1	25.37	82
1 1 1	28.72	37
0 0 2	31.74	69
1 3 0	34.72	100
2 0 0	35.03	73
2 0 -2	39.49	36
1 3 -2	43.65	98
1 3 2	51.60	43

Atomic structure:
```
data_Ni2Ag2PtO6
_chemical_formula_sum 'Ni4 Ag4 Pt2 O12'
_cell_length_a 5.3907
_cell_length_b 8.9757
_cell_length_c 5.9321
_cell_angle_alpha 90.00
_cell_angle_beta 108.13
_cell_angle_gamma 90.00
_symmetry_space_group_name_H-M 'C 1 2/m 1'
_symmetry_Int_Tables_number 12
_symmetry_space_group_name_Hall '-C 2y'
loop_
_atom_site_label
_atom_site_type_symbol
_atom_site_fract_x
_atom_site_fract_y
_atom_site_fract_z
_atom_site_occupancy
Ni1 Ni 0.0000 0.1643 0.0000 1
Ag1 Ag 0.0000 0.1845 0.5000 1
Pt1 Pt 0.0000 0.5000 0.0000 1
O1 O 0.1127 0.3341 0.8223 1
O2 O 0.1135 0.0000 0.8002 1
```

Structure and calculated X-ray powder pattern of Ni2Ag2TeO6 (DFT lattice parameters and positions (PBE+U); Cu Kα (weighted mean of Kα1 and Kα2)).

Largest 10 diffraction maxima, in order of rising 2θ, 10 to 90 degrees two-theta:
hkl	Position (°2θ)	intensity
1 1 -1	20.78	49
0 2 1	24.79	58
1 1 1	29.79	18
0 0 2	30.48	65
1 3 0	34.84	78
2 0 0	36.73	64
2 0 -2	37.11	33
1 3 -2	41.43	100
1 3 2	52.01	38
3 3 -2	60.87	28

Atomic structure:
```
data_Ni2Ag2TeO6
_chemical_formula_sum 'Ni4 Ag4 Te2 O12'
_cell_length_a 5.3526
_cell_length_b 9.0869
_cell_length_c 6.4157
_cell_angle_alpha 90.00
_cell_angle_beta 113.90
_cell_angle_gamma 90.00
_symmetry_space_group_name_H-M 'C 1 2/m 1'
_symmetry_Int_Tables_number 12
_symmetry_space_group_name_Hall '-C 2y'
loop_
_atom_site_label
_atom_site_type_symbol
_atom_site_fract_x
_atom_site_fract_y
_atom_site_fract_z
_atom_site_occupancy
Ni1 Ni 0.0000 0.1659 0.0000 1
Ag1 Ag 0.0000 0.1840 0.5000 1
Te1 Te 0.0000 0.5000 0.0000 1
O1 O 0.0721 0.3413 0.8218 1
O2 O 0.1004 0.0000 0.8137 1
```

Structure and calculated X-ray powder pattern of V2NiAgO6 (DFT lattice parameters and positions (PBE+U); Cu Kα (weighted mean of Kα1 and Kα2)).

Largest 10 diffraction maxima, in order of rising 2θ, 10 to 90 degrees two-theta:
hkl	Position (°2θ)	intensity
1 1 0	12.54	97
2 0 0	16.92	26
2 2 -1	26.00	72
3 1 0	27.18	100
1 3 -1	31.97	64
0 0 2	33.21	42
1 3 1	35.54	23
4 0 -2	36.52	36
2 4 -1	42.03	33
5 3 -1	48.78	23

Atomic structure:
```
data_V2NiAgO6
_chemical_formula_sum 'V8 Ni4 Ag4 O24'
_cell_length_a 11.5275
_cell_length_b 9.5549
_cell_length_c 5.9349
_cell_angle_alpha 90.00
_cell_angle_beta 114.61
_cell_angle_gamma 90.00
_symmetry_space_group_name_H-M 'C 1 2/c 1'
_symmetry_Int_Tables_number 15
_symmetry_space_group_name_Hall '-C 2yc'
loop_
_atom_site_label
_atom_site_type_symbol
_atom_site_fract_x
_atom_site_fract_y
_atom_site_fract_z
_atom_site_occupancy
V1 V 0.1920 0.0958 0.2009 1
Ni1 Ni 0.0000 0.3109 0.7500 1
Ag1 Ag 0.0000 0.4072 0.2500 1
O1 O 0.1121 0.2486 0.0976 1
O2 O 0.1473 0.3749 0.6750 1
O3 O 0.1519 0.0208 0.4401 1
```